Structure and simulated powder X-ray diffraction pattern of Sm5ErPb5 (the PBE geometry in Alexandria; Cu Ka).

Most intense lines, 10° ≤ 2θ ≤ 90°, low angle first:
- 28.12 deg, 3.173 Å, rel. 1000
- 29.30 deg, 3.048 Å, rel. 889
- 29.62 deg, 3.016 Å, rel. 863
- 34.52 deg, 2.598 Å, rel. 585
- 41.07 deg, 2.198 Å, rel. 725
- 41.30 deg, 2.186 Å, rel. 713
- 45.10 deg, 2.010 Å, rel. 567
- 57.27 deg, 1.609 Å, rel. 272

Cell and atoms:
```
Sm5ErPb5
1.0
8.0362 -3.1729 0.0000
8.0362 3.1729 0.0000
-1.8138 0.0000 7.2419
Sm Er Pb
5 1 5
Cartesian
0.0000 0.0000 0.0000 Sm
5.0142 0.0000 1.2733 Sm
4.2139 0.0000 4.9225 Sm
10.0447 0.0000 2.3194 Sm
9.2444 0.0000 5.9686 Sm
-0.9069 0.0000 3.6210 Er
1.1329 0.0000 6.0643 Pb
2.0356 0.0000 2.5170 Pb
7.1293 0.0000 3.6210 Pb
12.2230 0.0000 4.7250 Pb
13.1257 0.0000 1.1776 Pb
```